MgCr2O4: computed powder X-ray diffraction pattern (Cu Ka), based on a cell relaxed with PBE+U.
Peak positions follow from Bragg's law for the DFT cell and can differ from measured ones.

Largest 10 diffraction maxima, sorted by position, 2θ = 5–70°:
2θ/deg, I/Imax
28.40, 43.7
30.32, 56.7
34.07, 47.9
34.90, 100.0
36.52, 55.0
36.78, 33.3
41.55, 30.2
54.59, 39.8
58.77, 21.5
63.08, 70.6

Crystal structure
Unit cell a=6.018 b=6.285 c=8.022 alpha=90.00 beta=90.00 gamma=90.00
Space group Imma (No. 74)
Symmetry-distinct sites (fractional):
Mg 0.000 0.000 0.000 x4
Cr 0.000 0.250 0.369 x4
Cr 0.250 0.250 0.750 x4
O 0.000 0.033 0.743 x8
O 0.232 0.250 0.003 x8